# 1
The following is a theoretical XRD peak list of Li7Mn4CoO12. It was derived from a cell relaxed with GGA+U, using a wavelength of 1.5418 Å.

Top 10 peaks for 2θ = 15–90°, by angle:
2θ (°), d_spacing, intensity, h k l
18.28, 4.853, 100, 0 0 2
34.82, 2.577, 17, 2 2 1
36.43, 2.466, 23, 0 3 2
41.73, 2.165, 33, 2 2 -1
44.20, 2.049, 28, 2 -1 3
44.39, 2.041, 27, 0 3 4
61.92, 1.499, 8, 0 3 -4
62.52, 1.486, 8, 2 5 3
62.59, 1.484, 8, -2 1 5
62.89, 1.478, 8, 4 1 2

Structure:
a b c (Å): 5.920 7.770 10.530
angles (deg): 70.07 75.05 76.68
Atoms (fractional coordinates):
1 Li 0.036 0.328 0.256
2 Li 0.120 0.007 0.755
3 Li 0.214 0.677 0.244
4 Li 0.250 0.000 0.000
5 Li 0.286 0.324 0.757
6 Li 0.373 0.990 0.244
7 Li 0.453 0.666 0.747
8 Li 0.547 0.334 0.253
9 Li 0.627 0.010 0.756
10 Li 0.714 0.676 0.243
11 Li 0.750 0.000 0.000
12 Li 0.786 0.323 0.756
13 Li 0.880 0.993 0.245
14 Li 0.964 0.672 0.744
15 Mn 0.076 0.674 0.004
16 Mn 0.161 0.328 0.504
17 Mn 0.335 0.670 0.497
18 Mn 0.424 0.326 0.997
19 Mn 0.576 0.674 0.003
20 Mn 0.665 0.330 0.503
21 Mn 0.839 0.672 0.496
22 Mn 0.924 0.326 0.996
23 Co 0.000 0.000 0.500
24 Co 0.500 0.000 0.500
25 O 0.017 0.182 0.882
26 O 0.047 0.500 0.617
27 O 0.120 0.842 0.380
28 O 0.161 0.195 0.109
29 O 0.175 0.487 0.894
30 O 0.223 0.833 0.614
31 O 0.255 0.151 0.395
32 O 0.325 0.513 0.106
33 O 0.339 0.805 0.891
34 O 0.382 0.155 0.618
35 O 0.451 0.499 0.383
36 O 0.483 0.818 0.117
37 O 0.517 0.182 0.883
38 O 0.549 0.501 0.617
39 O 0.618 0.845 0.382
40 O 0.661 0.195 0.109
41 O 0.675 0.487 0.894
42 O 0.745 0.849 0.605
43 O 0.777 0.167 0.386
44 O 0.825 0.513 0.106
45 O 0.839 0.805 0.891
46 O 0.880 0.158 0.620
47 O 0.953 0.500 0.383
48 O 0.983 0.818 0.118



# 2
The following is a theoretical XRD peak list of Li3MnCoO5. It was derived from a cell relaxed with GGA+U, using a wavelength of 1.5418 Å.

Top 10 peaks for 2θ = 15–90°, by angle:
2θ (°), d_spacing, intensity, h k l
18.42, 4.817, 100, 0 1 1
35.66, 2.517, 13, 1 0 -2
35.89, 2.502, 13, 0 2 -3
36.51, 2.461, 11, 1 -1 2
43.02, 2.103, 29, -1 1 3
43.79, 2.067, 28, 0 3 -2
44.18, 2.050, 27, 1 0 3
62.61, 1.484, 8, 0 1 6
63.33, 1.468, 8, -1 4 1
64.12, 1.452, 15, 2 -1 0

Structure:
a b c (Å): 2.906 6.534 9.829
angles (deg): 100.93 91.53 102.71
Atoms (fractional coordinates):
1 Li 0.000 0.000 0.000
2 Li 0.109 0.195 0.291
3 Li 0.312 0.618 0.899
4 Li 0.500 0.000 0.500
5 Li 0.688 0.382 0.101
6 Li 0.891 0.805 0.709
7 Mn 0.415 0.810 0.194
8 Mn 0.585 0.190 0.806
9 Co 0.193 0.404 0.602
10 Co 0.807 0.596 0.398
11 O 0.037 0.115 0.666
12 O 0.146 0.292 0.932
13 O 0.287 0.517 0.256
14 O 0.333 0.690 0.538
15 O 0.457 0.921 0.844
16 O 0.543 0.079 0.156
17 O 0.667 0.310 0.462
18 O 0.713 0.483 0.744
19 O 0.854 0.708 0.068
20 O 0.963 0.885 0.334